Entry 1:
For Zn3Cu3Pt, the GGA-PBE geometry in Alexandria gives the simulated X-ray powder pattern in this record (Cu Kα (weighted mean of Kα1 and Kα2)).

Most intense lines, 15° ≤ 2θ ≤ 90°, most intense first:
2theta, I (rel.)
44.7, 100.0
42.3, 28.7
41.9, 21.1
20.8, 17.9
32.9, 14.7
79.0, 14.2

Structural model:
a b c (Å): 6.0720 6.0720 5.4454
angles (deg): 90.00 90.00 90.54
Positions (direct):
Zn  0.0000  0.0000  0.2449
Zn  0.0000  0.0000  0.7551
Zn  0.0000  0.5000  0.2419
Zn  0.0000  0.5000  0.7581
Zn  0.5000  0.0000  0.2419
Zn  0.5000  0.0000  0.7581
Cu  0.2730  0.2730  0.0000
Cu  0.3005  0.6995  0.0000
Cu  0.3074  0.6926  0.5000
Cu  0.6926  0.3074  0.5000
Cu  0.6995  0.3005  0.0000
Cu  0.7270  0.7270  0.0000
Pt  0.2597  0.2597  0.5000
Pt  0.7403  0.7403  0.5000

=====

Entry 2:
For Ac2HgH, the GGA-PBE geometry in Alexandria gives the simulated X-ray powder pattern in this record (Cu Kα (weighted mean of Kα1 and Kα2)).

Most intense lines, 15° ≤ 2θ ≤ 90°, most intense first:
2theta, I (rel.)
31.5, 100.0
29.4, 91.6
44.7, 49.8
25.6, 48.2
56.9, 41.0
33.4, 30.1

Structural model:
a b c (Å): 8.3769 8.3769 8.3769
angles (deg): 28.04 28.04 28.04
Positions (direct):
Ac  0.0000  0.0000  0.0000
Ac  0.2044  0.2044  0.2044
Hg  0.7690  0.7690  0.7690
H  0.6022  0.6022  0.6022

=====

Entry 3:
For CsB4S7, the GGA-PBE geometry in Alexandria gives the simulated X-ray powder pattern in this record (Cu Kα (weighted mean of Kα1 and Kα2)).

Most intense lines, 15° ≤ 2θ ≤ 90°, most intense first:
2theta, I (rel.)
34.7, 100.0
26.1, 45.6
33.2, 41.7
35.4, 27.0
31.2, 25.0
25.5, 23.1

Structural model:
a b c (Å): 13.7097 5.7352 5.3986
angles (deg): 90.00 90.00 90.00
Positions (direct):
Cs  0.0000  0.2059  0.0000
Cs  0.5000  0.7941  0.5000
B  0.1275  0.6671  0.5958
B  0.2487  0.1755  0.5694
B  0.2513  0.8245  0.0694
B  0.3725  0.3329  0.0958
B  0.6275  0.3329  0.0958
B  0.7487  0.8245  0.0694
B  0.7513  0.1755  0.5694
B  0.8725  0.6671  0.5958
S  0.0000  0.7941  0.4895
S  0.1318  0.7089  0.9479
S  0.1360  0.3518  0.4875
S  0.2341  0.8531  0.4448
S  0.2659  0.1469  0.9448
S  0.3640  0.6482  0.9875
S  0.3682  0.2911  0.4479
S  0.5000  0.2059  0.9895
S  0.6318  0.2911  0.4479
S  0.6360  0.6482  0.9875
S  0.7341  0.1469  0.9448
S  0.7659  0.8531  0.4448
S  0.8640  0.3518  0.4875
S  0.8682  0.7089  0.9479

=====

Entry 4:
For HoCu7Ni5, the GGA-PBE geometry in Alexandria gives the simulated X-ray powder pattern in this record (Cu Kα (weighted mean of Kα1 and Kα2)).

Most intense lines, 15° ≤ 2θ ≤ 90°, most intense first:
2theta, I (rel.)
43.6, 100.0
37.5, 31.0
49.0, 23.3
80.0, 22.3
71.9, 13.9
30.4, 12.9

Structural model:
a b c (Å): 6.3462 6.3462 6.3462
angles (deg): 135.58 98.23 98.21
Positions (direct):
Ho  0.0000  0.0000  0.0000
Cu  0.2155  0.4953  0.7202
Cu  0.3461  0.9942  0.3520
Cu  0.3474  0.3474  0.0000
Cu  0.6422  0.9942  0.6480
Cu  0.6467  0.6467  0.0000
Cu  0.7730  0.2730  0.5000
Cu  0.7751  0.4953  0.2798
Ni  0.2164  0.7164  0.5000
Ni  0.4929  0.4946  0.4977
Ni  0.4929  0.9952  0.9983
Ni  0.9969  0.4946  0.0017
Ni  0.9969  0.9952  0.5023

=====

Entry 5:
For Pr4Ru3C5, the GGA-PBE geometry in Alexandria gives the simulated X-ray powder pattern in this record (Cu Kα (weighted mean of Kα1 and Kα2)).

Most intense lines, 15° ≤ 2θ ≤ 90°, most intense first:
2theta, I (rel.)
33.2, 100.0
31.7, 98.3
30.5, 57.2
35.6, 43.2
27.3, 41.6
45.6, 34.0

Structural model:
a b c (Å): 6.3152 6.3152 9.9068
angles (deg): 113.15 113.15 36.72
Positions (direct):
Pr  0.1038  0.1038  0.4014
Pr  0.2592  0.2592  0.8343
Pr  0.7408  0.7408  0.1657
Pr  0.8962  0.8962  0.5986
Ru  0.0000  0.0000  0.0000
Ru  0.4521  0.4521  0.1719
Ru  0.5479  0.5479  0.8281
C  0.3077  0.3077  0.3882
C  0.3874  0.3874  0.3250
C  0.5000  0.5000  0.0000
C  0.6126  0.6126  0.6750
C  0.6923  0.6923  0.6118

=====

Entry 6:
For Co2RuRh, the GGA-PBE geometry in Alexandria gives the simulated X-ray powder pattern in this record (Cu Kα (weighted mean of Kα1 and Kα2)).

Most intense lines, 15° ≤ 2θ ≤ 90°, most intense first:
2theta, I (rel.)
44.4, 100.0
40.5, 33.3
41.8, 29.6
59.6, 19.1
76.4, 18.7
78.1, 15.3

Structural model:
a b c (Å): 2.6078 2.6078 8.6484
angles (deg): 90.00 90.00 117.40
Positions (direct):
Co  0.0000  0.0000  0.0000
Co  0.5000  0.5000  0.2285
Ru  0.5000  0.5000  0.7507
Rh  0.0000  0.0000  0.4809

=====

Entry 7:
For K2Sm2TiS6, the GGA-PBE geometry in Alexandria gives the simulated X-ray powder pattern in this record (Cu Kα (weighted mean of Kα1 and Kα2)).

Most intense lines, 15° ≤ 2θ ≤ 90°, most intense first:
2theta, I (rel.)
30.8, 100.0
41.6, 55.6
30.4, 53.2
46.0, 30.9
38.6, 24.2
26.6, 24.0

Structural model:
a b c (Å): 6.7831 6.7831 7.8671
angles (deg): 98.65 98.65 119.18
Positions (direct):
K  0.1711  0.8289  0.0000
K  0.8289  0.1711  0.0000
Sm  0.3334  0.6666  0.5000
Sm  0.6666  0.3334  0.5000
Ti  0.0000  0.0000  0.5000
S  0.0660  0.3679  0.6933
S  0.2304  0.2304  0.3094
S  0.3679  0.0660  0.6933
S  0.6321  0.9340  0.3067
S  0.7696  0.7696  0.6906
S  0.9340  0.6321  0.3067

=====

Entry 8:
For BaCePd4, the GGA-PBE geometry in Alexandria gives the simulated X-ray powder pattern in this record (Cu Kα (weighted mean of Kα1 and Kα2)).

Most intense lines, 15° ≤ 2θ ≤ 90°, most intense first:
2theta, I (rel.)
37.6, 100.0
31.9, 34.4
39.3, 33.1
60.6, 32.5
66.6, 27.1
56.8, 13.2

Structural model:
a b c (Å): 5.6141 5.6141 5.6141
angles (deg): 60.00 60.00 60.00
Positions (direct):
Ba  0.0000  0.0000  0.0000
Ce  0.7500  0.7500  0.7500
Pd  0.3757  0.3757  0.3757
Pd  0.3757  0.3757  0.8729
Pd  0.3757  0.8729  0.3757
Pd  0.8729  0.3757  0.3757